# 1
# KHfMg6O7
Theoretical powder XRD pattern, Cu Ka. Input: a structure optimized by DFT (GGA-PBE).

```
data_KHfMg6O7
_space_group_name_H-M_alt 'P 4 m m'
_space_group_IT_number 99
_cell_length_a 4.5293
_cell_length_b 4.5293
_cell_length_c 8.6757
_cell_angle_alpha 90.00
_cell_angle_beta 90.00
_cell_angle_gamma 90.00
loop_
_space_group_symop_operation_xyz
'x,y,z'
'-y,x,z'
'-x,-y,z'
'y,-x,z'
'-x,y,z'
'y,x,z'
'x,-y,z'
'-y,-x,z'
loop_
_atom_site_label
_atom_site_type_symbol
_atom_site_fract_x
_atom_site_fract_y
_atom_site_fract_z
K1 K 0.0000 0.0000 0.0000
Hf1 Hf 0.0000 0.0000 0.4653
Mg1 Mg 0.0000 0.5000 0.2099
Mg2 Mg 0.0000 0.5000 0.7353
Mg3 Mg 0.5000 0.5000 0.4678
Mg4 Mg 0.5000 0.5000 0.9668
O1 O 0.0000 0.0000 0.7018
O2 O 0.0000 0.5000 0.4765
O3 O 0.0000 0.5000 0.9654
O4 O 0.5000 0.5000 0.2212
O5 O 0.5000 0.5000 0.7150
```

Main lines, by angle (5 to 70 degrees two-theta):
2θ 10.20, 8.676 Å, I 86, hkl 0 0 1; 2θ 19.60, 4.529 Å, I 56, hkl 1 0 0; 2θ 22.14, 4.015 Å, I 71, hkl 1 0 1; 2θ 28.49, 3.133 Å, I 68, hkl 1 0 2; 2θ 34.82, 2.577 Å, I 78, hkl 1 1 2; 2θ 39.80, 2.265 Å, I 100, hkl 2 0 0; 2θ 41.64, 2.169 Å, I 40, hkl 0 0 4; 2θ 58.97, 1.566 Å, I 52, hkl 2 0 4

# 2
# AlSbO3
Theoretical powder XRD pattern, Cu Ka. Input: a structure optimized by DFT (GGA-PBE).

```
data_AlSbO3
_space_group_name_H-M_alt 'P 1'
_space_group_IT_number 1
_cell_length_a 5.1181
_cell_length_b 5.5032
_cell_length_c 11.5303
_cell_angle_alpha 89.92
_cell_angle_beta 89.96
_cell_angle_gamma 89.92
loop_
_space_group_symop_operation_xyz
'x,y,z'
loop_
_atom_site_label
_atom_site_type_symbol
_atom_site_fract_x
_atom_site_fract_y
_atom_site_fract_z
Al1 Al 0.0000 0.0000 0.0000
Al2 Al 0.0030 0.8565 0.5012
Al3 Al 0.4992 0.3302 0.9761
Al4 Al 0.5042 0.5264 0.4775
Sb1 Sb 0.0121 0.3728 0.3054
Sb2 Sb 0.4926 0.8462 0.1722
Sb3 Sb 0.5100 0.0095 0.6737
Sb4 Sb 0.9916 0.4852 0.8040
O1 O 0.0247 0.0898 0.4020
O2 O 0.1529 0.9018 0.6373
O3 O 0.1680 0.5943 0.4401
O4 O 0.3355 0.0685 0.0362
O5 O 0.3489 0.3722 0.8391
O6 O 0.4773 0.5633 0.0750
O7 O 0.5270 0.2918 0.5757
O8 O 0.6549 0.4858 0.3403
O9 O 0.6676 0.7874 0.5378
O10 O 0.8352 0.2619 0.9385
O11 O 0.8499 0.9542 0.1361
O12 O 0.9787 0.7663 0.9013
```

Main lines, by angle (5 to 70 degrees two-theta):
2θ 22.33, 3.981 Å, I 100, hkl 0 1 2; 2θ 23.23, 3.829 Å, I 44, hkl 1 0 2; 2θ 23.25, 3.826 Å, I 44, hkl 1 0 -2; 2θ 23.74, 3.748 Å, I 44, hkl 1 1 0; 2θ 24.98, 3.564 Å, I 48, hkl 1 -1 1; 2θ 28.35, 3.148 Å, I 52, hkl 1 1 2; 2θ 28.42, 3.141 Å, I 78, hkl 1 1 -2; 2θ 35.09, 2.558 Å, I 57, hkl 2 0 0

# 3
# SiO2
Theoretical powder XRD pattern, Cu Ka. Input: a structure optimized by DFT (GGA-PBE).

```
data_SiO2
_space_group_name_H-M_alt 'C 2 2 21'
_space_group_IT_number 20
_cell_length_a 8.8892
_cell_length_b 11.3276
_cell_length_c 17.6048
_cell_angle_alpha 90.00
_cell_angle_beta 90.00
_cell_angle_gamma 90.00
loop_
_space_group_symop_operation_xyz
'x,y,z'
'-x,-y,z+1/2'
'x,-y,-z'
'-x,y,-z+1/2'
'x+1/2,y+1/2,z'
'-x+1/2,-y+1/2,z+1/2'
'x+1/2,-y+1/2,-z'
'-x+1/2,y+1/2,-z+1/2'
loop_
_atom_site_label
_atom_site_type_symbol
_atom_site_fract_x
_atom_site_fract_y
_atom_site_fract_z
Si1 Si 0.0000 0.2289 0.2500
Si2 Si 0.0314 0.0000 0.5000
Si3 Si 0.0871 0.1422 0.8611
Si4 Si 0.2029 0.1262 0.3751
Si5 Si 0.2239 0.1040 0.7089
O1 O 0.0582 0.1499 0.3207
O2 O 0.0782 0.0632 0.9380
O3 O 0.0846 0.1720 0.6664
O4 O 0.1373 0.3057 0.2166
O5 O 0.1396 0.0993 0.4604
O6 O 0.1702 0.0648 0.7946
O7 O 0.1798 0.2636 0.8775
O8 O 0.2158 0.4914 0.8401
```

Main lines, by angle (5 to 70 degrees two-theta):
2θ 10.05, 8.802 Å, I 46, hkl 0 0 2; 2θ 12.66, 6.993 Å, I 100, hkl 1 1 0; 2θ 13.62, 6.499 Å, I 25, hkl 1 1 1; 2θ 16.19, 5.475 Å, I 32, hkl 1 1 2; 2θ 16.44, 5.392 Å, I 15, hkl 0 2 1; 2θ 19.75, 4.495 Å, I 22, hkl 1 1 3; 2θ 27.45, 3.250 Å, I 26, hkl 2 2 2; 2θ 29.74, 3.004 Å, I 15, hkl 2 2 3

# 4
# TmAs3
Theoretical powder XRD pattern, Cu Ka. Input: a structure optimized by DFT (GGA-PBE).

```
data_TmAs3
_space_group_name_H-M_alt 'P 63/m m c'
_space_group_IT_number 194
_space_group_name_Hall '-P 6c 2c'
_cell_length_a 5.9363
_cell_length_b 5.9363
_cell_length_c 5.4912
_cell_angle_alpha 90.00
_cell_angle_beta 90.00
_cell_angle_gamma 120.00
loop_
_atom_site_label
_atom_site_type_symbol
_atom_site_fract_x
_atom_site_fract_y
_atom_site_fract_z
Tm1 Tm 0.3333 0.6667 0.2500
As1 As 0.1817 0.3633 0.7500
```

Main lines, by angle (5 to 70 degrees two-theta):
2θ 17.25, 5.141 Å, I 16, hkl 1 0 0; 2θ 23.71, 3.753 Å, I 12, hkl 1 0 1; 2θ 32.61, 2.746 Å, I 37, hkl 0 0 2; 2θ 34.90, 2.570 Å, I 22, hkl 2 0 0; 2θ 38.68, 2.328 Å, I 100, hkl 2 0 1; 2θ 48.51, 1.876 Å, I 17, hkl 2 0 2; 2θ 62.27, 1.491 Å, I 25, hkl 2 0 3; 2θ 62.59, 1.484 Å, I 15, hkl 2 2 0